# 1
The following is a calculated powder diffraction line list of K2CeCrF6. It was derived from the PBE+U geometry in Alexandria, using Cu Kα X-rays.
Lines closer than 0.1° are merged.

Crystal structure
Cell lengths 6.8508, 8.5601, 6.9853 Å; angles 90.00, 90.00, 90.00 degrees
Fractional coordinates of all 20 atoms:
K 0.2500 0.0090 0.1676
K 0.2500 0.4910 0.1676
K 0.7500 0.5090 0.8324
K 0.7500 0.9910 0.8324
Ce 0.2500 0.2500 0.6813
Ce 0.7500 0.7500 0.3187
Cr 0.2500 0.7500 0.7498
Cr 0.7500 0.2500 0.2502
F 0.0053 0.7500 0.1037
F 0.0455 0.2500 0.4229
F 0.2500 0.5108 0.7720
F 0.2500 0.9892 0.7720
F 0.4545 0.2500 0.4229
F 0.4947 0.7500 0.1037
F 0.5053 0.2500 0.8963
F 0.5455 0.7500 0.5771
F 0.7500 0.0108 0.2280
F 0.7500 0.4892 0.2280
F 0.9545 0.7500 0.5771
F 0.9947 0.2500 0.8963

The 8 most intense peaks (10° ≤ 2θ ≤ 90°), most intense first:
index, two_theta, Rel. int.
1 2 1, 27.70, 1000
1 0 1, 18.14, 672
2 0 0, 26.01, 407
1 1 0, 16.57, 368
2 0 2, 36.75, 351
2 1 2, 38.28, 301
0 2 0, 20.75, 278
3 2 1, 46.94, 277

---

# 2
The following is a calculated powder diffraction line list of CeCr2FeO6. It was derived from the PBE+U geometry in Alexandria, using Cu Kα X-rays.
Lines closer than 0.1° are merged.

Crystal structure
Cell lengths 5.3733, 5.3750, 5.5136 Å; angles 61.31, 61.41, 60.29 degrees
Fractional coordinates of all 10 atoms:
Ce 0.0000 0.0000 0.0000
Cr 0.2784 0.2737 0.1749
Cr 0.7810 0.7788 0.6629
Fe 0.4872 0.4829 0.5373
O 0.0525 0.6301 0.8921
O 0.1575 0.5507 0.3915
O 0.4282 0.0497 0.8887
O 0.5620 0.9087 0.3828
O 0.6320 0.4279 0.8796
O 0.9136 0.1476 0.3917

The 8 most intense peaks (10° ≤ 2θ ≤ 90°), most intense first:
index, two_theta, Rel. int.
1 0 -1, 32.24, 1000
1 2 1, 33.35, 871
1 1 0, 23.04, 502
1 1 2, 32.51, 495
2 0 2, 47.15, 473
1 -1 0, 33.20, 450
-2 1 1, 58.72, 380
0 3 1, 59.41, 291